For LiNiGeF6, a DFT-relaxed cell (PBE+U, Alexandria) gives the theoretical X-ray diffraction stick pattern in this record (Cu Kα X-rays).
Lines closer than 0.1° are merged.

The 10 most intense peaks (2θ from 10° to 80°), most intense first:
Position (°2θ)	I/Imax
19.57	100
39.69	77
53.44	43
27.80	41
61.18	21
44.65	18
34.17	15
57.39	15
64.90	12
75.44	12

Atomic structure:
Cell lengths 5.2478, 5.2478, 9.0613 Å; angles 90.00, 90.00, 120.00 degrees
Space group P-31c (No. 163)
Inequivalent atoms, fractional coordinates:
Li1 0.0000 0.0000 0.0000 x2
Ni1 0.3333 0.6667 0.2500 x2
Ge1 0.3333 0.6667 0.7500 x2
F1 0.0010 0.3441 0.6313 x12